Calculated powder diffractogram of Li2CaTb2Si2 for λ = 1.5418 Å (Cu Kα), from the PBE geometry in Alexandria.

Cell and atoms:
```
data_Li2CaTb2Si2
_symmetry_space_group_name_H-M 'R -3 m'
_symmetry_Int_Tables_number 166
_symmetry_space_group_name_Hall '-R 3 2"'
_cell_length_a 4.5280
_cell_length_b 4.5280
_cell_length_c 26.8088
_cell_angle_alpha 90.00
_cell_angle_beta 90.00
_cell_angle_gamma 120.00
loop_
_atom_site_label
_atom_site_type_symbol
_atom_site_fract_x
_atom_site_fract_y
_atom_site_fract_z
Li1 Li 0.0000 0.0000 0.0960
Ca1 Ca 0.0000 0.0000 0.5000
Tb1 Tb 0.0000 0.0000 0.3720
Si1 Si 0.0000 0.0000 0.2450
```

The 6 most intense peaks (2θ from 10° to 90°), sorted by position:
(1 0 1), d 3.880, I 100; (1 0 4), d 3.385, I 54; (1 0 7), d 2.740, I 62; (0 1 8), d 2.548, I 89; (1 1 0), d 2.264, I 67; (2 0 8), d 1.692, I 25